Starting from a cell relaxed with GGA-PBE, the X-ray powder pattern of KCuTeS was calculated for Cu Kα.
Lines closer than 0.1° are merged.

Most intense lines, 10° ≤ 2θ ≤ 80°, low angle first:
(hkl), 2θ/deg, I_rel
1 1 0, 23.16, 100
1 1 -1, 28.67, 43
2 0 1, 32.56, 89
3 1 -1, 33.76, 60
2 0 -2, 38.21, 41
3 1 1, 46.12, 49

Crystal structure
```
data_KCuTeS
_chemical_formula_sum 'K2 Cu2 Te2 S2'
_space_group_name_H-M_alt 'C 1 m 1'
_space_group_IT_number 8
_cell_length_a 11.1976
_cell_length_b 4.1490
_cell_length_c 4.7109
_cell_angle_alpha 90.00
_cell_angle_beta 114.85
_cell_angle_gamma 90.00
loop_
_space_group_symop_operation_xyz
'x,y,z'
'x,-y,z'
'x+1/2,y+1/2,z'
'x+1/2,-y+1/2,z'
loop_
_atom_site_label
_atom_site_type_symbol
_atom_site_fract_x
_atom_site_fract_y
_atom_site_fract_z
K1 K 0.0000 0.0000 0.0000
Cu1 Cu 0.2762 0.5000 0.2772
Te1 Te 0.1461 0.5000 0.6469
S1 S 0.3867 0.0000 0.3851
```